Diffraction record for CaSiSnO5. The X-ray powder pattern is computed, not measured: it uses a crystal structure in Alexandria, relaxed with GGA-PBE and CuKα.

Peak list (10 most intense, 10 to 80 degrees two-theta, most intense first)
26.7 deg, d = 3.337 Å, I 100, (1 0 -2)
17.3 deg, d = 5.119 Å, I 82, (0 1 0)
28.7 deg, d = 3.112 Å, I 58, (1 1 0)
33.5 deg, d = 2.676 Å, I 53, (1 -1 2)
33.1 deg, d = 2.703 Å, I 29, (1 -2 0)
33.2 deg, d = 2.700 Å, I 28, (2 -1 0)
42.3 deg, d = 2.137 Å, I 26, (2 1 -2)
19.7 deg, d = 4.498 Å, I 24, (1 -1 0)
53.7 deg, d = 1.706 Å, I 22, (3 0 0)
51.7 deg, d = 1.767 Å, I 20, (2 0 2)

```
data_CaSiSnO5
_chemical_formula_sum 'Ca2 Si2 Sn2 O10'
_cell_length_a 5.631
_cell_length_b 5.641
_cell_length_c 7.265
_cell_angle_alpha 104.06
_cell_angle_beta 103.88
_cell_angle_gamma 105.88
_space_group_name_H-M_alt 'P -1'
_space_group_IT_number 2
_space_group_name_Hall '-P 1'
loop_
_atom_site_label
_atom_site_type_symbol
_atom_site_fract_x
_atom_site_fract_y
_atom_site_fract_z
_atom_site_occupancy
Ca1 Ca 0.162 0.336 0.254 1
Si1 Si 0.181 0.320 0.750 1
Sn1 Sn 0.500 0.000 0.000 1
Sn2 Sn 0.500 0.000 0.500 1
O1 O 0.108 0.741 0.412 1
O2 O 0.178 0.106 0.872 1
O3 O 0.239 0.610 0.910 1
O4 O 0.396 0.324 0.628 1
O5 O 0.411 0.088 0.250 1
```